(1)
For PrHo7Tm2, a PBE-relaxed structure gives the simulated X-ray diffraction stick pattern in this record (Cu Ka).
Peak positions follow from Bragg's law for the DFT cell and can differ from measured ones.

The 8 most intense peaks (2θ from 10° to 80°), by angle:
2θ = 30.93°, d 2.891, I = 86, (1 1 1); 2θ = 31.61°, d 2.830, I = 100, (1 5 -1); 2θ = 33.15°, d 2.702, I = 46, (2 0 -2); 2θ = 33.50°, d 2.675, I = 43, (2 4 0); 2θ = 34.58°, d 2.594, I = 19, (1 3 1); 2θ = 47.85°, d 1.901, I = 32, (0 4 2); 2θ = 59.12°, d 1.563, I = 18, (1 9 1); 2θ = 62.43°, d 1.488, I = 29, (3 5 1)

Cell and atoms:
Cell lengths 8.835, 16.612, 5.404 Å; angles 90.00, 127.66, 90.00 degrees
Space group C2/m (No. 12)
Unique sites:
Pr  0.000  0.000  0.000 [2 per cell]
Ho  0.000  0.201  0.000 [4 per cell]
Ho  0.000  0.500  0.500 [2 per cell]
Ho  0.248  0.389  0.248 [8 per cell]
Tm  0.000  0.301  0.500 [4 per cell]

(2)
For ReRu2Pt2, a PBE-relaxed structure gives the simulated X-ray diffraction stick pattern in this record (Cu Ka).
Peak positions follow from Bragg's law for the DFT cell and can differ from measured ones.

The 8 most intense peaks (2θ from 10° to 80°), by angle:
2θ = 21.80°, d 4.077, I = 34, (1 1 0); 2θ = 22.97°, d 3.872, I = 47, (0 2 0); 2θ = 28.12°, d 3.173, I = 27, (1 1 1); 2θ = 29.05°, d 3.074, I = 69, (0 2 1); 2θ = 42.06°, d 2.148, I = 100, (1 1 2); 2θ = 44.45°, d 2.038, I = 79, (2 2 0); 2θ = 46.93°, d 1.936, I = 34, (0 4 0); 2θ = 54.28°, d 1.690, I = 48, (1 3 2)

Cell and atoms:
Cell lengths 4.795, 7.745, 5.055 Å; angles 90.00, 90.00, 90.00 degrees
Space group Cmmm (No. 65)
Unique sites:
Re  0.000  0.000  0.000 [2 per cell]
Ru  0.250  0.250  0.500 [4 per cell]
Pt  0.000  0.500  0.245 [4 per cell]

(3)
For Li2Zn3Au4, a PBE-relaxed structure gives the simulated X-ray diffraction stick pattern in this record (Cu Ka).
Peak positions follow from Bragg's law for the DFT cell and can differ from measured ones.

The 8 most intense peaks (2θ from 10° to 80°), by angle:
2θ = 26.87°, d 3.318, I = 42, (0 1 2); 2θ = 27.50°, d 3.244, I = 34, (1 0 1); 2θ = 27.92°, d 3.196, I = 34, (1 1 -1); 2θ = 38.82°, d 2.320, I = 58, (1 1 3); 2θ = 39.33°, d 2.291, I = 100, (1 0 -3); 2θ = 39.70°, d 2.270, I = 46, (1 2 0); 2θ = 43.85°, d 2.065, I = 37, (0 1 -3); 2θ = 44.35°, d 2.043, I = 39, (2 1 0)

Cell and atoms:
Cell lengths 4.086, 4.694, 8.425 Å; angles 77.49, 89.22, 64.50 degrees
Space group P-1 (No. 2)
Unique sites:
Li  0.178  0.141  0.219 [2 per cell]
Zn  0.156  0.186  0.558 [2 per cell]
Zn  0.500  0.500  0.000 [1 per cell]
Au  0.159  0.182  0.887 [2 per cell]
Au  0.477  0.553  0.667 [2 per cell]

(4)
For La3NdCu2O8, a PBE-relaxed structure gives the simulated X-ray diffraction stick pattern in this record (Cu Ka).
Peak positions follow from Bragg's law for the DFT cell and can differ from measured ones.

The 8 most intense peaks (2θ from 10° to 80°), by angle:
2θ = 24.11°, d 3.691, I = 22, (1 1 -1); 2θ = 31.02°, d 2.883, I = 100, (3 1 1); 2θ = 32.03°, d 2.794, I = 31, (0 0 2); 2θ = 33.79°, d 2.653, I = 30, (0 2 0); 2θ = 41.79°, d 2.161, I = 20, (5 1 -1); 2θ = 47.24°, d 1.924, I = 30, (0 2 2); 2θ = 56.40°, d 1.632, I = 14, (3 1 -3); 2θ = 58.72°, d 1.572, I = 17, (3 3 1)

Cell and atoms:
Cell lengths 13.062, 5.306, 5.588 Å; angles 90.00, 90.13, 90.00 degrees
Space group Cm (No. 8)
Unique sites:
La  0.000  0.000  0.000 [2 per cell]
La  0.000  0.500  0.468 [2 per cell]
La  0.280  0.000  0.968 [2 per cell]
Nd  0.277  0.500  0.503 [2 per cell]
Cu  0.141  0.500  0.986 [2 per cell]
Cu  0.142  0.000  0.485 [2 per cell]
O  0.129  0.251  0.733 [4 per cell]
O  0.156  0.252  0.238 [4 per cell]
O  0.327  0.000  0.550 [2 per cell]
O  0.328  0.500  0.909 [2 per cell]
O  0.450  0.500  0.411 [2 per cell]
O  0.454  0.000  0.049 [2 per cell]

(5)
For LaPu2Pd9, a PBE-relaxed structure gives the simulated X-ray diffraction stick pattern in this record (Cu Ka).
Peak positions follow from Bragg's law for the DFT cell and can differ from measured ones.

The 8 most intense peaks (2θ from 10° to 80°), by angle:
2θ = 21.29°, d 4.174, I = 9, (0 0 3); 2θ = 30.28°, d 2.951, I = 8, (1 1 0); 2θ = 37.32°, d 2.410, I = 100, (1 1 3); 2θ = 43.36°, d 2.087, I = 49, (2 0 0); 2θ = 48.79°, d 1.867, I = 5, (2 0 3); 2θ = 62.99°, d 1.476, I = 32, (2 2 0); 2θ = 75.56°, d 1.258, I = 37, (3 1 3); 2θ = 79.56°, d 1.205, I = 11, (2 2 6)

Cell and atoms:
Cell lengths 4.173, 4.173, 12.524 Å; angles 90.00, 90.00, 90.00 degrees
Space group P4/mmm (No. 123)
Unique sites:
La  0.000  0.000  0.000 [1 per cell]
Pu  0.000  0.000  0.336 [2 per cell]
Pd  0.000  0.500  0.173 [4 per cell]
Pd  0.000  0.500  0.500 [2 per cell]
Pd  0.500  0.500  0.000 [1 per cell]
Pd  0.500  0.500  0.335 [2 per cell]

(6)
For Y6Al3Cd, a PBE-relaxed structure gives the simulated X-ray diffraction stick pattern in this record (Cu Ka).
Peak positions follow from Bragg's law for the DFT cell and can differ from measured ones.

The 8 most intense peaks (2θ from 10° to 80°), by angle:
2θ = 23.81°, d 3.737, I = 26, (0 1 2); 2θ = 33.10°, d 2.707, I = 46, (2 0 -4); 2θ = 33.87°, d 2.647, I = 92, (3 1 -1); 2θ = 34.32°, d 2.613, I = 100, (1 1 3); 2θ = 34.74°, d 2.582, I = 56, (0 2 0); 2θ = 48.74°, d 1.868, I = 30, (2 2 -4); 2θ = 61.69°, d 1.504, I = 29, (3 3 -1); 2θ = 62.01°, d 1.497, I = 18, (1 3 3)

Cell and atoms:
Cell lengths 9.254, 5.164, 11.378 Å; angles 90.00, 107.88, 90.00 degrees
Space group P2_1/m (No. 11)
Unique sites:
Y  0.043  0.250  0.412 [2 per cell]
Y  0.155  0.750  0.177 [2 per cell]
Y  0.240  0.250  0.996 [2 per cell]
Y  0.324  0.750  0.797 [2 per cell]
Y  0.373  0.250  0.340 [2 per cell]
Y  0.393  0.250  0.623 [2 per cell]
Al  0.032  0.750  0.881 [2 per cell]
Al  0.116  0.250  0.712 [2 per cell]
Al  0.274  0.750  0.473 [2 per cell]
Cd  0.456  0.750  0.096 [2 per cell]